1.
Simulated X-ray diffraction stick pattern of Rb2HgI4 for copper Kα, from a structure optimized by DFT (PBE).
Peak positions follow from Bragg's law for the DFT cell and can differ from measured ones.

Structure:
```
Rb2HgI4
1.0
8.0086 0.0000 0.0000
0.0000 8.4428 0.0000
-3.6160 0.0000 10.0456
Rb Hg I
4 2 8
Direct
0.1991 0.0000 0.0371 Rb
0.2788 0.0035 0.5827 Rb
0.7212 0.5035 0.4173 Rb
0.8009 0.5000 0.9629 Rb
0.2062 0.5045 0.7841 Hg
0.7938 0.0045 0.2159 Hg
0.0289 0.7393 0.2784 I
0.0317 0.2680 0.2806 I
0.3831 0.5095 0.0661 I
0.4422 0.5042 0.6391 I
0.5578 0.0042 0.3609 I
0.6169 0.0095 0.9339 I
0.9683 0.7680 0.7194 I
0.9711 0.2393 0.7216 I
```

Top 10 peaks for 2θ = 10–80°, sorted by position:
- (0 1 1), 13.7°, I = 554
- (0 2 0), 21.0°, I = 404
- (2 0 -2), 24.2°, I = 1000
- (1 0 2), 24.4°, I = 480
- (2 1 -2), 26.5°, I = 719
- (1 1 2), 26.6°, I = 768
- (1 2 -2), 27.6°, I = 438
- (2 2 0), 31.8°, I = 400
- (1 0 -4), 33.6°, I = 490
- (3 2 -2), 40.4°, I = 731

2.
Simulated X-ray diffraction stick pattern of Tl4HgI6 for copper Kα, from a structure optimized by DFT (PBE).
Peak positions follow from Bragg's law for the DFT cell and can differ from measured ones.

Structure:
```
Tl4HgI6
1.0
9.4506 0.0000 0.0000
0.0000 9.4506 0.0000
0.0000 0.0000 9.3457
Tl Hg I
8 2 12
Direct
0.1483 0.3515 0.0000 Tl
0.1485 0.3517 0.5000 Tl
0.3515 0.8517 0.0000 Tl
0.3517 0.8515 0.5000 Tl
0.6483 0.1485 0.5000 Tl
0.6485 0.1483 0.0000 Tl
0.8515 0.6483 0.5000 Tl
0.8517 0.6485 0.0000 Tl
0.0000 0.0000 0.2508 Hg
0.5000 0.5000 0.7508 Hg
0.0000 0.0000 0.5451 I
0.0000 0.0000 0.9566 I
0.1407 0.6740 0.2504 I
0.1740 0.6407 0.7504 I
0.3260 0.1407 0.2504 I
0.3593 0.1740 0.7504 I
0.5000 0.5000 0.0451 I
0.5000 0.5000 0.4566 I
0.6407 0.8260 0.7504 I
0.6740 0.8593 0.2504 I
0.8260 0.3593 0.7504 I
0.8593 0.3260 0.2504 I
```

Top 10 peaks for 2θ = 10–80°, sorted by position:
- (1 0 1), 13.3°, I = 88
- (2 2 0), 26.7°, I = 100
- (2 1 2), 28.5°, I = 1000
- (3 1 0), 29.9°, I = 616
- (0 0 4), 38.5°, I = 148
- (4 2 0), 42.8°, I = 107
- (4 1 2), 44.0°, I = 130
- (3 1 4), 49.5°, I = 232
- (5 2 2), 56.0°, I = 202
- (2 1 6), 63.7°, I = 103

3.
Simulated X-ray diffraction stick pattern of Tl4HgI6 for copper Kα, from a structure optimized by DFT (PBE).
Peak positions follow from Bragg's law for the DFT cell and can differ from measured ones.

Structure:
```
Tl4HgI6
1.0
9.4620 0.0000 0.0000
0.0000 9.4620 0.0000
0.0000 0.0000 9.3374
Tl Hg I
8 2 12
Direct
0.1481 0.3519 0.2500 Tl
0.1481 0.3519 0.7500 Tl
0.3519 0.8519 0.2500 Tl
0.3519 0.8519 0.7500 Tl
0.6481 0.1481 0.2500 Tl
0.6481 0.1481 0.7500 Tl
0.8519 0.6481 0.2500 Tl
0.8519 0.6481 0.7500 Tl
0.0000 0.0000 0.0000 Hg
0.5000 0.5000 0.5000 Hg
0.0000 0.0000 0.2936 I
0.0000 0.0000 0.7064 I
0.1418 0.6732 0.0000 I
0.1732 0.6418 0.5000 I
0.3268 0.1418 0.0000 I
0.3582 0.1732 0.5000 I
0.5000 0.5000 0.2064 I
0.5000 0.5000 0.7936 I
0.6418 0.8268 0.5000 I
0.6732 0.8582 0.0000 I
0.8268 0.3582 0.5000 I
0.8582 0.3268 0.0000 I
```

Top 10 peaks for 2θ = 10–80°, sorted by position:
- (1 0 1), 13.3°, I = 87
- (2 2 0), 26.6°, I = 100
- (2 1 2), 28.5°, I = 1000
- (3 1 0), 29.9°, I = 617
- (0 0 4), 38.6°, I = 148
- (4 2 0), 42.7°, I = 107
- (4 1 2), 44.0°, I = 129
- (3 1 4), 49.5°, I = 234
- (5 2 2), 55.9°, I = 205
- (2 1 6), 63.7°, I = 113

4.
Simulated X-ray diffraction stick pattern of InHg3IrSe4 for copper Kα, from a structure optimized by DFT (PBE).
Peak positions follow from Bragg's law for the DFT cell and can differ from measured ones.

Structure:
```
InHg3IrSe4
1.0
6.3217 0.0000 0.0000
0.0000 6.3217 0.0000
0.0000 0.0000 6.3217
In Hg Ir Se
1 3 1 4
Direct
0.0000 0.0000 0.0000 In
0.0000 0.5000 0.5000 Hg
0.5000 0.0000 0.5000 Hg
0.5000 0.5000 0.0000 Hg
0.5000 0.5000 0.5000 Ir
0.2510 0.2510 0.2510 Se
0.2510 0.7490 0.7490 Se
0.7490 0.2510 0.7490 Se
0.7490 0.7490 0.2510 Se
```

Top 10 peaks for 2θ = 10–80°, sorted by position:
- (1 0 0), 14.0°, I = 319
- (1 1 1), 24.4°, I = 630
- (2 0 0), 28.2°, I = 293
- (2 1 0), 31.6°, I = 186
- (2 2 0), 40.4°, I = 1000
- (3 1 1), 47.7°, I = 315
- (4 0 0), 58.4°, I = 169
- (3 3 1), 64.2°, I = 129
- (4 2 0), 66.1°, I = 113
- (4 2 2), 73.4°, I = 348

5.
Simulated X-ray diffraction stick pattern of LaInHg2 for copper Kα, from a structure optimized by DFT (PBE).
Peak positions follow from Bragg's law for the DFT cell and can differ from measured ones.

Structure:
```
LaInHg2
1.0
5.2663 0.0000 0.0000
0.0000 7.5725 0.0000
0.0000 0.0000 5.2659
La In Hg
2 2 4
Direct
0.2500 0.2500 0.2478 La
0.7500 0.7500 0.7522 La
0.2500 0.7500 0.2496 In
0.7500 0.2500 0.7504 In
0.2500 0.0000 0.7483 Hg
0.2500 0.5000 0.7483 Hg
0.7500 0.0000 0.2517 Hg
0.7500 0.5000 0.2517 Hg
```

Top 10 peaks for 2θ = 10–80°, sorted by position:
- (1 0 1), 23.9°, I = 57
- (1 2 1), 33.8°, I = 1000
- (2 0 0), 34.0°, I = 489
- (2 2 0), 41.8°, I = 29
- (0 4 0), 48.1°, I = 93
- (2 0 2), 48.9°, I = 177
- (2 4 0), 60.2°, I = 190
- (3 2 1), 60.8°, I = 370
- (2 4 2), 71.0°, I = 117
- (4 0 0), 71.7°, I = 57